Diffraction record for Rb6HgSe4. The powder X-ray diffraction pattern is calculated, not measured: it uses a cell relaxed with PBE and Cu Kα (weighted mean of Kα1 and Kα2).
Kinematic intensities with the Lorentz-polarization factor, no thermal factor.

Principal peaks in the range 10 to 80 degrees two-theta, sorted by position:
2θ/deg, Rel. int.
14.13, 46
23.22, 19
26.84, 18
27.17, 75
28.49, 70
30.35, 23
32.89, 100
33.45, 28
37.41, 21
53.55, 23

Atomic structure:
Unit cell a=10.896 b=10.896 c=8.382 alpha=90.00 beta=90.00 gamma=120.00
Atoms (fractional coordinates):
Rb (0.055, 0.527, 0.000)
Rb (0.149, 0.298, 0.327)
Rb (0.149, 0.851, 0.327)
Rb (0.298, 0.149, 0.827)
Rb (0.473, 0.527, 0.000)
Rb (0.473, 0.945, 0.000)
Rb (0.527, 0.055, 0.500)
Rb (0.527, 0.473, 0.500)
Rb (0.702, 0.851, 0.327)
Rb (0.851, 0.149, 0.827)
Rb (0.851, 0.702, 0.827)
Rb (0.945, 0.473, 0.500)
Hg (0.333, 0.667, 0.622)
Hg (0.667, 0.333, 0.122)
Se (0.193, 0.386, 0.723)
Se (0.193, 0.807, 0.723)
Se (0.333, 0.667, 0.287)
Se (0.386, 0.193, 0.223)
Se (0.614, 0.807, 0.723)
Se (0.667, 0.333, 0.787)
Se (0.807, 0.193, 0.223)
Se (0.807, 0.614, 0.223)

Diffraction record for Rb4Sn21Hg2. The powder X-ray diffraction pattern is calculated, not measured: it uses a cell relaxed with PBE and Cu Kα (weighted mean of Kα1 and Kα2).
Kinematic intensities with the Lorentz-polarization factor, no thermal factor.

Principal peaks in the range 10 to 80 degrees two-theta, sorted by position:
2θ/deg, Rel. int.
15.88, 34
24.71, 36
25.74, 19
26.72, 100
29.51, 22
38.86, 14
42.22, 66
42.87, 20
43.51, 27
44.76, 53

Atomic structure:
Unit cell a=12.485 b=12.479 c=12.479 alpha=89.99 beta=90.00 gamma=90.00
Atoms (fractional coordinates):
Rb (0.000, 0.000, 0.000)
Rb (0.250, 0.000, 0.499)
Rb (0.250, 0.498, 0.250)
Rb (0.250, 0.498, 0.748)
Rb (0.500, 0.000, 0.000)
Rb (0.750, 0.250, 0.498)
Rb (0.750, 0.499, 0.000)
Rb (0.750, 0.748, 0.498)
Sn (0.058, 0.616, 0.999)
Sn (0.064, 0.380, 0.999)
Sn (0.067, 0.815, 0.682)
Sn (0.067, 0.816, 0.317)
Sn (0.068, 0.181, 0.317)
Sn (0.068, 0.182, 0.682)
Sn (0.132, 0.312, 0.499)
Sn (0.132, 0.687, 0.499)
Sn (0.250, 0.118, 0.813)
Sn (0.250, 0.119, 0.186)
Sn (0.250, 0.749, 0.999)
Sn (0.250, 0.883, 0.191)
Sn (0.250, 0.883, 0.808)
Sn (0.368, 0.312, 0.499)
Sn (0.368, 0.687, 0.499)
Sn (0.432, 0.181, 0.317)
Sn (0.432, 0.182, 0.682)
Sn (0.433, 0.815, 0.682)
Sn (0.433, 0.816, 0.317)
Sn (0.436, 0.380, 0.999)
Sn (0.442, 0.616, 0.999)
Sn (0.558, 0.999, 0.616)
Sn (0.564, 0.999, 0.380)
Sn (0.567, 0.317, 0.816)
Sn (0.567, 0.682, 0.815)
Sn (0.568, 0.317, 0.181)
Sn (0.568, 0.682, 0.182)
Sn (0.632, 0.499, 0.312)
Sn (0.632, 0.499, 0.687)
Sn (0.750, 0.186, 0.119)
Sn (0.750, 0.191, 0.883)
Sn (0.750, 0.808, 0.883)
Sn (0.750, 0.813, 0.118)
Sn (0.750, 0.999, 0.749)
Sn (0.868, 0.499, 0.312)
Sn (0.868, 0.499, 0.687)
Sn (0.932, 0.317, 0.181)
Sn (0.932, 0.682, 0.182)
Sn (0.933, 0.317, 0.816)
Sn (0.933, 0.682, 0.815)
Sn (0.936, 0.999, 0.380)
Sn (0.942, 0.999, 0.616)
Hg (0.000, 0.499, 0.499)
Hg (0.250, 0.249, 0.999)
Hg (0.500, 0.499, 0.499)
Hg (0.750, 0.999, 0.249)

Diffraction record for Rb2Hg3Te4. The powder X-ray diffraction pattern is calculated, not measured: it uses a cell relaxed with PBE and Cu Kα (weighted mean of Kα1 and Kα2).
Kinematic intensities with the Lorentz-polarization factor, no thermal factor.

Principal peaks in the range 10 to 80 degrees two-theta, sorted by position:
2θ/deg, Rel. int.
11.88, 100
24.33, 62
25.79, 41
27.16, 30
30.09, 76
30.35, 71
38.77, 23
38.97, 32
42.43, 28
44.82, 24

Atomic structure:
Unit cell a=12.619 b=7.412 c=14.903 alpha=90.00 beta=90.00 gamma=90.00
Atoms (fractional coordinates):
Rb (0.135, 0.165, 0.042)
Rb (0.135, 0.835, 0.542)
Rb (0.365, 0.335, 0.542)
Rb (0.365, 0.665, 0.042)
Rb (0.635, 0.335, 0.958)
Rb (0.635, 0.665, 0.458)
Rb (0.865, 0.165, 0.458)
Rb (0.865, 0.835, 0.958)
Hg (0.000, 0.399, 0.250)
Hg (0.000, 0.601, 0.750)
Hg (0.159, 0.160, 0.754)
Hg (0.159, 0.840, 0.254)
Hg (0.341, 0.340, 0.254)
Hg (0.341, 0.660, 0.754)
Hg (0.500, 0.101, 0.750)
Hg (0.500, 0.899, 0.250)
Hg (0.659, 0.340, 0.246)
Hg (0.659, 0.660, 0.746)
Hg (0.841, 0.160, 0.746)
Hg (0.841, 0.840, 0.246)
Te (0.078, 0.355, 0.612)
Te (0.078, 0.645, 0.112)
Te (0.154, 0.170, 0.342)
Te (0.154, 0.830, 0.842)
Te (0.346, 0.330, 0.842)
Te (0.346, 0.670, 0.342)
Te (0.422, 0.145, 0.112)
Te (0.422, 0.855, 0.612)
Te (0.578, 0.145, 0.388)
Te (0.578, 0.855, 0.888)
Te (0.654, 0.330, 0.658)
Te (0.654, 0.670, 0.158)
Te (0.846, 0.170, 0.158)
Te (0.846, 0.830, 0.658)
Te (0.922, 0.355, 0.888)
Te (0.922, 0.645, 0.388)

Diffraction record for HgSb4S8. The powder X-ray diffraction pattern is calculated, not measured: it uses a cell relaxed with PBE and Cu Kα (weighted mean of Kα1 and Kα2).
Kinematic intensities with the Lorentz-polarization factor, no thermal factor.

Principal peaks in the range 10 to 80 degrees two-theta, sorted by position:
2θ/deg, Rel. int.
16.39, 46
23.57, 29
24.67, 48
26.80, 28
29.37, 100
29.51, 45
30.02, 27
38.06, 25
38.64, 25
46.82, 27

Atomic structure:
Unit cell a=11.329 b=11.329 c=30.767 alpha=103.89 beta=103.89 gamma=20.41
Atoms (fractional coordinates):
Hg (0.000, 0.000, 0.000)
Hg (0.000, 0.000, 0.500)
Hg (0.497, 0.503, 0.750)
Hg (0.503, 0.497, 0.250)
Sb (0.024, 0.121, 0.369)
Sb (0.121, 0.024, 0.869)
Sb (0.134, 0.296, 0.292)
Sb (0.237, 0.334, 0.458)
Sb (0.296, 0.134, 0.792)
Sb (0.334, 0.237, 0.958)
Sb (0.382, 0.474, 0.381)
Sb (0.474, 0.382, 0.881)
Sb (0.526, 0.618, 0.119)
Sb (0.618, 0.526, 0.619)
Sb (0.666, 0.763, 0.042)
Sb (0.704, 0.866, 0.208)
Sb (0.763, 0.666, 0.542)
Sb (0.866, 0.704, 0.708)
Sb (0.879, 0.976, 0.131)
Sb (0.976, 0.879, 0.631)
S (0.027, 0.050, 0.171)
S (0.050, 0.027, 0.671)
S (0.091, 0.091, 0.060)
S (0.091, 0.091, 0.560)
S (0.174, 0.193, 0.478)
S (0.193, 0.174, 0.978)
S (0.203, 0.244, 0.149)
S (0.244, 0.203, 0.649)
S (0.267, 0.284, 0.601)
S (0.284, 0.267, 0.101)
S (0.285, 0.349, 0.271)
S (0.349, 0.285, 0.771)
S (0.406, 0.412, 0.190)
S (0.412, 0.406, 0.690)
S (0.450, 0.472, 0.079)
S (0.472, 0.450, 0.579)
S (0.528, 0.550, 0.421)
S (0.550, 0.528, 0.921)
S (0.588, 0.594, 0.310)
S (0.594, 0.588, 0.810)
S (0.651, 0.715, 0.229)
S (0.715, 0.651, 0.729)
S (0.716, 0.733, 0.899)
S (0.733, 0.716, 0.399)
S (0.756, 0.797, 0.351)
S (0.797, 0.756, 0.851)
S (0.807, 0.826, 0.022)
S (0.826, 0.807, 0.522)
S (0.909, 0.909, 0.440)
S (0.909, 0.909, 0.940)
S (0.950, 0.973, 0.329)
S (0.973, 0.950, 0.829)

Diffraction record for Hg2SeS. The powder X-ray diffraction pattern is calculated, not measured: it uses a cell relaxed with PBE and Cu Kα (weighted mean of Kα1 and Kα2).
Kinematic intensities with the Lorentz-polarization factor, no thermal factor.

Principal peaks in the range 10 to 80 degrees two-theta, sorted by position:
2θ/deg, Rel. int.
25.11, 100
29.08, 24
41.59, 61
49.20, 49
51.54, 7
60.23, 7
60.36, 3
66.34, 20
68.26, 6
75.89, 21

Atomic structure:
Unit cell a=4.346 b=4.346 c=6.134 alpha=90.00 beta=90.00 gamma=90.00
Atoms (fractional coordinates):
Hg (0.000, 0.500, 0.238)
Hg (0.500, 0.000, 0.762)
Se (0.000, 0.000, 0.500)
S (0.500, 0.500, 0.000)

Diffraction record for TaHgS2. The powder X-ray diffraction pattern is calculated, not measured: it uses a cell relaxed with PBE and Cu Kα (weighted mean of Kα1 and Kα2).
Kinematic intensities with the Lorentz-polarization factor, no thermal factor.

Principal peaks in the range 10 to 80 degrees two-theta, sorted by position:
2θ/deg, Rel. int.
18.29, 93
31.17, 64
32.99, 100
37.07, 15
39.52, 49
43.88, 41
54.12, 26
54.29, 26
57.78, 28
67.57, 16

Atomic structure:
Unit cell a=9.894 b=9.894 c=9.894 alpha=19.67 beta=19.67 gamma=19.67
Atoms (fractional coordinates):
Ta (0.000, 0.000, 0.000)
Hg (0.500, 0.500, 0.500)
S (0.281, 0.281, 0.281)
S (0.719, 0.719, 0.719)

Diffraction record for Tl2Hg3S4. The powder X-ray diffraction pattern is calculated, not measured: it uses a cell relaxed with PBE and Cu Kα (weighted mean of Kα1 and Kα2).
Kinematic intensities with the Lorentz-polarization factor, no thermal factor.

Principal peaks in the range 10 to 80 degrees two-theta, sorted by position:
2θ/deg, Rel. int.
25.82, 85
25.99, 69
27.34, 51
27.67, 26
28.09, 52
29.60, 100
33.46, 71
36.20, 21
47.60, 28
50.17, 21

Atomic structure:
Unit cell a=6.949 b=6.949 c=13.653 alpha=111.66 beta=111.66 gamma=58.25
Atoms (fractional coordinates):
Tl (0.108, 0.256, 0.057)
Tl (0.256, 0.108, 0.557)
Tl (0.744, 0.892, 0.443)
Tl (0.892, 0.744, 0.943)
Hg (0.124, 0.876, 0.750)
Hg (0.329, 0.554, 0.347)
Hg (0.446, 0.671, 0.153)
Hg (0.554, 0.329, 0.847)
Hg (0.671, 0.446, 0.653)
Hg (0.876, 0.124, 0.250)
S (0.062, 0.287, 0.752)
S (0.267, 0.569, 0.577)
S (0.287, 0.062, 0.252)
S (0.431, 0.733, 0.923)
S (0.569, 0.267, 0.077)
S (0.713, 0.938, 0.748)
S (0.733, 0.431, 0.423)
S (0.938, 0.713, 0.248)

Diffraction record for Sc3Hg. The powder X-ray diffraction pattern is calculated, not measured: it uses a cell relaxed with PBE and Cu Kα (weighted mean of Kα1 and Kα2).
Kinematic intensities with the Lorentz-polarization factor, no thermal factor.

Principal peaks in the range 10 to 80 degrees two-theta, sorted by position:
2θ/deg, Rel. int.
16.12, 28
23.47, 64
28.10, 29
32.56, 24
34.27, 27
36.93, 100
44.89, 17
47.04, 24
63.12, 20
69.22, 20

Atomic structure:
Unit cell a=6.351 b=6.351 c=5.233 alpha=90.00 beta=90.00 gamma=120.00
Atoms (fractional coordinates):
Sc (0.170, 0.340, 0.250)
Sc (0.170, 0.830, 0.250)
Sc (0.340, 0.170, 0.750)
Sc (0.660, 0.830, 0.250)
Sc (0.830, 0.170, 0.750)
Sc (0.830, 0.660, 0.750)
Hg (0.333, 0.667, 0.750)
Hg (0.667, 0.333, 0.250)

Diffraction record for ScHg3. The powder X-ray diffraction pattern is calculated, not measured: it uses a cell relaxed with PBE and Cu Kα (weighted mean of Kα1 and Kα2).
Kinematic intensities with the Lorentz-polarization factor, no thermal factor.

Principal peaks in the range 10 to 80 degrees two-theta, sorted by position:
2θ/deg, Rel. int.
24.10, 19
27.48, 8
31.83, 25
36.70, 23
36.87, 100
49.36, 15
56.72, 19
66.20, 18
69.48, 21
69.59, 16

Atomic structure:
Unit cell a=6.492 b=6.492 c=4.897 alpha=90.00 beta=90.00 gamma=120.00
Atoms (fractional coordinates):
Sc (0.333, 0.667, 0.250)
Sc (0.667, 0.333, 0.750)
Hg (0.170, 0.339, 0.750)
Hg (0.170, 0.830, 0.750)
Hg (0.339, 0.170, 0.250)
Hg (0.661, 0.830, 0.750)
Hg (0.830, 0.170, 0.250)
Hg (0.830, 0.661, 0.250)

Diffraction record for Sc3Hg. The powder X-ray diffraction pattern is calculated, not measured: it uses a cell relaxed with PBE and Cu Kα (weighted mean of Kα1 and Kα2).
Kinematic intensities with the Lorentz-polarization factor, no thermal factor.

Principal peaks in the range 10 to 80 degrees two-theta, sorted by position:
2θ/deg, Rel. int.
19.82, 61
28.18, 54
34.69, 100
40.28, 49
45.28, 32
49.88, 24
58.27, 32
62.18, 16
65.96, 11
69.63, 37

Atomic structure:
Unit cell a=4.478 b=4.478 c=4.478 alpha=90.00 beta=90.00 gamma=90.00
Atoms (fractional coordinates):
Sc (0.000, 0.000, 0.500)
Sc (0.000, 0.500, 0.000)
Sc (0.500, 0.000, 0.000)
Hg (0.500, 0.500, 0.500)

Diffraction record for HgSe. The powder X-ray diffraction pattern is calculated, not measured: it uses a cell relaxed with PBE and Cu Kα (weighted mean of Kα1 and Kα2).
Kinematic intensities with the Lorentz-polarization factor, no thermal factor.

Principal peaks in the range 10 to 80 degrees two-theta, sorted by position:
2θ/deg, Rel. int.
24.26, 77
28.88, 100
39.54, 24
40.61, 19
43.00, 34
46.93, 18
48.47, 25
49.69, 14
54.07, 12
62.99, 19

Atomic structure:
Unit cell a=4.559 b=4.559 c=9.942 alpha=90.00 beta=90.00 gamma=120.00
Atoms (fractional coordinates):
Hg (0.000, 0.726, 0.333)
Hg (0.274, 0.274, 0.000)
Hg (0.726, 0.000, 0.667)
Se (0.000, 0.485, 0.833)
Se (0.485, 0.000, 0.167)
Se (0.515, 0.515, 0.500)